No. 1
Starting from a cell relaxed with PBE, the X-ray diffraction stick pattern of Cs3Tl5Pd2 was computed for λ = 1.5418 Å (Cu Kα).
No peak broadening, texture or thermal motion is included.

Structure:
Unit cell a=10.537 b=10.537 c=10.537 alpha=112.87 beta=84.22 gamma=135.41
Element x y z (fractional)
Cs  0.138  0.748  0.886
Cs  0.250  0.250  0.000
Cs  0.362  0.248  0.609
Cs  0.638  0.752  0.391
Cs  0.750  0.750  0.000
Cs  0.862  0.252  0.114
Tl  0.007  0.750  0.257
Tl  0.110  0.339  0.449
Tl  0.250  0.750  0.500
Tl  0.390  0.839  0.230
Tl  0.493  0.750  0.743
Tl  0.507  0.250  0.257
Tl  0.610  0.161  0.770
Tl  0.750  0.250  0.500
Tl  0.890  0.661  0.551
Tl  0.993  0.250  0.743
Pd  0.167  0.115  0.282
Pd  0.333  0.615  0.948
Pd  0.667  0.385  0.052
Pd  0.833  0.885  0.718

Top 8 peaks for 10 to 90 degrees two-theta, in order of falling intensity:
- d 2.795, I 100
- d 3.296, I 95
- d 3.246, I 88
- d 3.189, I 29
- d 1.702, I 28
- d 2.017, I 26
- d 2.354, I 26
- d 1.681, I 25

=====

No. 2
Starting from a cell relaxed with PBE, the X-ray diffraction stick pattern of Cs5Tl4Pd4 was computed for λ = 1.5418 Å (Cu Kα).
No peak broadening, texture or thermal motion is included.

Structure:
Unit cell a=9.855 b=9.855 c=9.855 alpha=94.06 beta=94.06 gamma=149.15
Element x y z (fractional)
Cs  0.000  0.000  0.000
Cs  0.315  0.663  0.978
Cs  0.337  0.315  0.652
Cs  0.663  0.685  0.348
Cs  0.685  0.337  0.022
Tl  0.014  0.683  0.697
Tl  0.317  0.014  0.331
Tl  0.683  0.986  0.669
Tl  0.986  0.317  0.303
Pd  0.103  0.491  0.594
Pd  0.491  0.897  0.387
Pd  0.509  0.103  0.613
Pd  0.897  0.509  0.406

Top 8 peaks for 10 to 90 degrees two-theta, in order of falling intensity:
- d 3.405, I 100
- d 3.167, I 78
- d 1.871, I 51
- d 2.019, I 44
- d 2.621, I 36
- d 2.239, I 22
- d 2.391, I 22
- d 1.703, I 19

=====

No. 3
Starting from a cell relaxed with PBE, the X-ray diffraction stick pattern of Cs3Tl2Pd2 was computed for λ = 1.5418 Å (Cu Kα).
No peak broadening, texture or thermal motion is included.

Structure:
Unit cell a=7.454 b=9.798 c=14.830 alpha=90.00 beta=90.00 gamma=90.00
Element x y z (fractional)
Cs  0.137  0.104  0.098
Cs  0.137  0.104  0.402
Cs  0.137  0.396  0.598
Cs  0.137  0.396  0.902
Cs  0.311  0.713  0.750
Cs  0.311  0.787  0.250
Cs  0.689  0.213  0.750
Cs  0.689  0.287  0.250
Cs  0.863  0.604  0.098
Cs  0.863  0.604  0.402
Cs  0.863  0.896  0.598
Cs  0.863  0.896  0.902
Tl  0.244  0.075  0.750
Tl  0.244  0.425  0.250
Tl  0.426  0.750  0.000
Tl  0.426  0.750  0.500
Tl  0.574  0.250  0.000
Tl  0.574  0.250  0.500
Tl  0.756  0.575  0.750
Tl  0.756  0.925  0.250
Pd  0.402  0.017  0.583
Pd  0.402  0.017  0.917
Pd  0.402  0.483  0.083
Pd  0.402  0.483  0.417
Pd  0.598  0.517  0.583
Pd  0.598  0.517  0.917
Pd  0.598  0.983  0.083
Pd  0.598  0.983  0.417

Top 8 peaks for 10 to 90 degrees two-theta, in order of falling intensity:
- d 3.482, I 100
- d 2.992, I 75
- d 3.327, I 71
- d 2.848, I 69
- d 7.451, I 51
- d 3.148, I 43
- d 2.327, I 38
- d 1.911, I 30